Calculated powder diffractogram
Compound: SmYGa2I2
Radiation: copper Kα
Structure: the GGA-PBE geometry in OQMD

Peak list (10 most intense, 10 to 80 degrees two-theta, by intensity)
two_theta  d_spacing  I_rel
32.76  2.734  100
28.34  3.149  53
42.74  2.116  51
25.36  3.512  44
63.11  1.473  25
54.87  1.673  23
44.31  2.044  21
71.95  1.312  20
44.12  2.053  12
38.18  2.357  11

Structure:
```
SmYGa2I2
1.0
4.2315 0.0000 0.0000
-2.1158 3.6646 0.0000
0.0000 0.0000 12.3154
Sm Y Ga I
1 1 2 2
Cartesian
0.0000 0.0000 0.0000 Sm
0.0000 0.0000 4.0972 Y
0.0000 2.4431 2.3985 Ga
2.1158 1.2215 1.7381 Ga
0.0000 2.4431 10.2665 I
2.1158 1.2215 6.0793 I
```

Calculated powder diffractogram
Compound: TaGaI7
Radiation: copper Kα
Structure: the GGA-PBE geometry in OQMD

Peak list (10 most intense, 10 to 80 degrees two-theta, by intensity)
two_theta  d_spacing  I_rel
10.37  8.527  100
13.99  6.330  82
11.19  7.906  72
25.76  3.459  69
24.39  3.649  66
29.75  3.003  56
16.51  5.370  49
26.32  3.386  37
34.32  2.613  37
28.44  3.138  32

Structure:
```
TaGaI7
1.0
8.0109 0.0000 0.0000
0.0000 6.9094 0.0000
-2.7942 0.0000 17.0547
Ta Ga I
2 2 14
Cartesian
0.0000 0.6210 0.0000 Ta
-1.3971 6.2885 8.5273 Ta
1.6416 3.4021 2.3509 Ga
0.2445 3.5073 10.8782 Ga
-0.1840 1.0299 6.7873 I
-1.5811 5.8796 15.3146 I
0.1527 0.8819 10.8183 I
1.5498 6.0275 2.2910 I
2.4093 2.2127 0.0800 I
1.0122 4.6968 8.6074 I
3.0376 2.6085 4.3217 I
1.6405 4.3009 12.8490 I
4.5207 1.0109 9.0018 I
5.9178 5.8985 0.4745 I
4.0658 2.2802 15.3616 I
5.4629 4.6292 6.8343 I
7.2541 2.2090 2.2880 I
5.8570 4.7004 10.8153 I
```

Calculated powder diffractogram
Compound: ZrGaI7
Radiation: copper Kα
Structure: the GGA-PBE geometry in OQMD

Peak list (10 most intense, 10 to 80 degrees two-theta, by intensity)
two_theta  d_spacing  I_rel
24.06  3.699  100
25.37  3.511  98
13.74  6.447  87
10.19  8.678  86
26.23  3.398  86
29.30  3.049  77
10.98  8.057  62
21.62  4.110  59
28.02  3.184  47
42.03  2.150  38

Structure:
```
ZrGaI7
1.0
8.1654 0.0000 0.0000
0.0000 6.9283 0.0000
-2.8572 0.0000 17.3565
Zr Ga I
2 2 14
Cartesian
0.0000 0.5455 0.0000 Zr
-1.4286 6.3828 8.6782 Zr
1.6933 3.3738 2.4282 Ga
0.2647 3.5545 11.1065 Ga
-0.0593 1.0004 6.8993 I
-1.4879 5.9279 15.5776 I
0.1887 0.9526 11.0651 I
1.6173 5.9757 2.3869 I
2.5354 2.2840 0.1788 I
1.1068 4.6443 8.8570 I
3.0918 2.6090 4.3829 I
1.6632 4.3194 13.0611 I
4.5443 0.9625 9.2938 I
5.9729 5.9658 0.6155 I
4.1604 2.2870 15.6022 I
5.5890 4.6413 6.9240 I
7.4514 2.2899 2.4322 I
6.0228 4.6384 11.1104 I
```

Calculated powder diffractogram
Compound: NdIn4GaIr
Radiation: copper Kα
Structure: the GGA-PBE geometry in OQMD

Peak list (10 most intense, 10 to 80 degrees two-theta, by intensity)
two_theta  d_spacing  I_rel
36.22  2.480  100
38.87  2.317  51
68.66  1.367  30
19.15  4.634  27
30.45  2.936  17
56.14  1.638  17
45.30  2.002  13
63.36  1.468  9
50.16  1.819  9
29.70  3.008  9

Structure:
```
NdIn4GaIr
1.0
4.6339 0.0000 0.0000
0.0000 4.6339 0.0000
0.0000 0.0000 7.5894
Nd In Ga Ir
1 4 1 1
Cartesian
0.0000 0.0000 0.0000 Nd
0.0000 2.3170 2.2807 In
0.0000 2.3170 5.3087 In
2.3170 0.0000 2.2807 In
2.3170 0.0000 5.3087 In
2.3170 2.3170 0.0000 Ga
0.0000 0.0000 3.7947 Ir
```

Calculated powder diffractogram
Compound: SrIn3GaIr
Radiation: copper Kα
Structure: the GGA-PBE geometry in OQMD

Peak list (10 most intense, 10 to 80 degrees two-theta, by intensity)
two_theta  d_spacing  I_rel
37.78  2.381  100
33.32  2.689  95
15.36  5.768  85
39.01  2.309  62
31.53  2.837  53
42.84  2.111  52
29.19  3.060  35
38.58  2.334  34
11.67  7.585  32
41.08  2.197  27

Structure:
```
SrIn3GaIr
1.0
8.8810 0.0000 0.0000
0.0000 4.2218 0.0000
0.0000 0.0000 7.5849
Sr In Ga Ir
2 6 2 2
Cartesian
2.2202 0.0000 0.9066 Sr
6.6607 0.0000 6.6784 Sr
0.0000 0.0000 3.7925 In
0.5846 2.1109 6.1523 In
3.8559 2.1109 6.1523 In
4.4405 0.0000 3.7925 In
5.0251 2.1109 1.4326 In
8.2964 2.1109 1.4326 In
2.2202 2.1109 3.4603 Ga
6.6607 2.1109 4.1246 Ga
2.2202 0.0000 5.1643 Ir
6.6607 0.0000 2.4206 Ir
```

Calculated powder diffractogram
Compound: SrIn3GaIr
Radiation: copper Kα
Structure: the GGA-PBE geometry in OQMD

Peak list (10 most intense, 10 to 80 degrees two-theta, by intensity)
two_theta  d_spacing  I_rel
32.83  2.728  100
40.16  2.246  68
37.93  2.372  62
40.75  2.214  46
15.77  5.619  44
31.76  2.817  36
11.62  7.616  29
29.45  3.033  28
64.63  1.442  20
41.67  2.167  19

Structure:
```
SrIn3GaIr
1.0
8.3239 0.0000 0.0000
0.0000 4.4283 0.0000
0.0000 0.0000 7.6158
Sr In Ga Ir
2 6 2 2
Cartesian
2.0810 0.0000 0.8163 Sr
6.2429 0.0000 6.7995 Sr
0.5225 2.2142 6.1206 In
2.0810 2.2142 3.3057 In
3.6394 2.2142 6.1206 In
4.6845 2.2142 1.4952 In
6.2429 2.2142 4.3100 In
7.8014 2.2142 1.4952 In
0.0000 0.0000 3.8079 Ga
4.1619 0.0000 3.8079 Ga
2.0810 0.0000 5.1231 Ir
6.2429 0.0000 2.4927 Ir
```

Calculated powder diffractogram
Compound: TmIn4GaIr
Radiation: copper Kα
Structure: the GGA-PBE geometry in OQMD

Peak list (10 most intense, 10 to 80 degrees two-theta, by intensity)
two_theta  d_spacing  I_rel
36.80  2.442  100
39.10  2.304  50
69.35  1.355  31
19.26  4.607  29
31.05  2.880  18
56.49  1.629  17
64.74  1.440  11
50.75  1.799  10
29.98  2.980  8
43.94  2.060  7

Structure:
```
TmIn4GaIr
1.0
4.6074 0.0000 0.0000
0.0000 4.6074 0.0000
0.0000 0.0000 7.3787
Tm In Ga Ir
1 4 1 1
Cartesian
0.0000 0.0000 0.0000 Tm
0.0000 2.3037 2.1697 In
0.0000 2.3037 5.2090 In
2.3037 0.0000 2.1697 In
2.3037 0.0000 5.2090 In
2.3037 2.3037 0.0000 Ga
0.0000 0.0000 3.6893 Ir
```

Calculated powder diffractogram
Compound: La2NdMg3InGa2
Radiation: copper Kα
Structure: the GGA-PBE geometry in OQMD

Peak list (10 most intense, 10 to 80 degrees two-theta, by intensity)
two_theta  d_spacing  I_rel
33.27  2.693  100
30.28  2.952  42
27.11  3.289  34
38.37  2.346  22
18.91  4.692  22
41.09  2.197  16
47.61  1.910  15
23.42  3.798  13
66.16  1.412  13
53.88  1.702  12

Structure:
```
La2NdMg3InGa2
1.0
4.6920 0.0000 0.0000
0.0000 6.5662 3.8048
0.0000 -6.5662 3.8048
La Nd Mg In Ga
2 1 3 1 2
Cartesian
0.0000 -3.7110 3.8048 La
0.0000 3.7110 3.8048 La
0.0000 0.0000 2.6525 Nd
2.3460 0.0000 0.2349 Mg
2.3460 -1.6208 5.0064 Mg
2.3460 1.6208 5.0064 Mg
0.0000 0.0000 5.9349 In
2.3460 -2.1684 2.1515 Ga
2.3460 2.1684 2.1515 Ga
```